1.
Computed powder XRD pattern of MgTi2Fe4O8 for copper Kα, from a cell relaxed with GGA+U.
Lines closer than 0.1° are merged.

Principal peaks in the range 10 to 80 degrees two-theta, low angle first:
2θ/deg	d/Å	Rel. int.	hkl
29.73	3.005	69	3 1 -1
29.93	2.985	46	0 2 0
32.89	2.723	62	0 0 2
33.38	2.684	100	3 1 0
34.25	2.618	69	0 2 1
34.76	2.581	87	3 1 -2
35.22	2.548	73	2 2 -1
40.00	2.254	47	4 0 0
41.78	2.162	96	2 2 -2
53.54	1.712	41	2 2 -3
56.63	1.625	58	2 2 2
61.74	1.502	79	6 2 -2

```
data_MgTi2Fe4O8
_chemical_formula_sum 'Mg2 Ti4 Fe8 O16'
_cell_length_a 10.448
_cell_length_b 5.970
_cell_length_c 6.312
_cell_angle_alpha 90.00
_cell_angle_beta 120.35
_cell_angle_gamma 90.00
_space_group_name_H-M_alt 'C 1 2/m 1'
_space_group_IT_number 12
loop_
_space_group_symop_operation_xyz
'x,y,z'
'-x,-y,-z'
'-x,y,-z'
'x,-y,z'
'x+1/2,y+1/2,z'
'-x+1/2,-y+1/2,-z'
'-x+1/2,y+1/2,-z'
'x+1/2,-y+1/2,z'
loop_
_atom_site_label
_atom_site_type_symbol
_atom_site_fract_x
_atom_site_fract_y
_atom_site_fract_z
Mg1 Mg 0.000 0.000 0.000
Ti1 Ti 0.250 0.250 0.000
Fe1 Fe 0.000 0.500 0.000
Fe2 Fe 0.000 0.500 0.500
Fe3 Fe 0.150 0.000 0.460
O1 O 0.019 0.244 0.773
O2 O 0.231 0.000 0.218
O3 O 0.232 0.500 0.193
```

2.
Computed powder XRD pattern of K3CoO2 for copper Kα, from a cell relaxed with GGA+U.
Lines closer than 0.1° are merged.

Principal peaks in the range 10 to 80 degrees two-theta, low angle first:
2θ/deg	d/Å	Rel. int.	hkl
19.10	4.647	9	2 1 0
20.38	4.359	10	1 1 1
29.50	3.028	11	0 0 2
29.86	2.992	23	4 0 0
30.45	2.935	16	1 0 2
32.12	2.787	100	2 2 1
36.34	2.472	15	3 2 1
37.28	2.412	9	3 0 2
42.47	2.129	11	4 0 2
49.44	1.843	13	0 4 0
52.20	1.752	14	1 2 3
54.45	1.685	12	6 2 1

```
data_K3CoO2
_chemical_formula_sum 'K12 Co4 O8'
_cell_length_a 11.969
_cell_length_b 7.374
_cell_length_c 6.056
_cell_angle_alpha 90.00
_cell_angle_beta 90.00
_cell_angle_gamma 90.00
_space_group_name_H-M_alt 'P n m a'
_space_group_IT_number 62
loop_
_space_group_symop_operation_xyz
'x,y,z'
'-x,-y,-z'
'-x+1/2,-y,z+1/2'
'x+1/2,y,-z+1/2'
'x+1/2,-y+1/2,-z+1/2'
'-x+1/2,y+1/2,z+1/2'
'-x,y+1/2,-z'
'x,-y+1/2,z'
loop_
_atom_site_label
_atom_site_type_symbol
_atom_site_fract_x
_atom_site_fract_y
_atom_site_fract_z
K1 K 0.094 0.250 0.219
K2 K 0.140 0.000 0.665
Co1 Co 0.118 0.750 0.177
O1 O 0.026 0.750 0.405
O2 O 0.217 0.750 0.959
```

3.
Computed powder XRD pattern of CeCr2O10 for copper Kα, from a cell relaxed with GGA+U.
Lines closer than 0.1° are merged.

Principal peaks in the range 10 to 80 degrees two-theta, low angle first:
2θ/deg	d/Å	Rel. int.	hkl
13.25	6.681	100	0 0 1
15.55	5.699	44	0 1 1
17.00	5.216	67	1 1 0
19.90	4.462	37	1 0 -1
21.01	4.228	95	0 2 1
21.51	4.130	50	1 1 -1
21.71	4.093	75	1 1 1
25.95	3.433	55	1 2 1
28.77	3.104	94	1 3 0
30.10	2.969	50	2 0 0
31.39	2.850	58	0 2 2
43.86	2.064	38	2 2 -2

```
data_CeCr2O10
_chemical_formula_sum 'Ce2 Cr4 O20'
_cell_length_a 5.938
_cell_length_b 10.922
_cell_length_c 6.682
_cell_angle_alpha 90.00
_cell_angle_beta 90.61
_cell_angle_gamma 90.00
_space_group_name_H-M_alt 'P 1 21/m 1'
_space_group_IT_number 11
loop_
_space_group_symop_operation_xyz
'x,y,z'
'-x,-y,-z'
'-x,y+1/2,-z'
'x,-y+1/2,z'
loop_
_atom_site_label
_atom_site_type_symbol
_atom_site_fract_x
_atom_site_fract_y
_atom_site_fract_z
Ce1 Ce 0.243 0.250 0.478
Cr1 Cr 0.258 0.551 0.763
O1 O 0.033 0.620 0.650
O2 O 0.129 0.750 0.385
O3 O 0.238 0.572 0.998
O4 O 0.262 0.100 0.712
O5 O 0.308 0.250 0.133
O6 O 0.496 0.616 0.676
```

4.
Computed powder XRD pattern of MgNiO2 for copper Kα, from a cell relaxed with GGA+U.
Lines closer than 0.1° are merged.

Principal peaks in the range 10 to 80 degrees two-theta, low angle first:
2θ/deg	d/Å	Rel. int.	hkl
16.54	5.358	55	0 0 1
33.45	2.679	31	0 0 2
33.92	2.643	100	2 0 -1
40.46	2.229	51	1 1 1
43.95	2.060	26	1 1 -2
44.07	2.055	13	2 0 1
52.40	1.746	12	2 0 -3
52.52	1.742	23	1 1 2
57.26	1.609	17	1 1 -3
59.78	1.547	38	0 2 0
70.22	1.340	17	0 0 4
70.53	1.335	10	2 2 -1

```
data_MgNiO2
_chemical_formula_sum 'Mg2 Ni2 O4'
_cell_length_a 5.357
_cell_length_b 3.095
_cell_length_c 5.654
_cell_angle_alpha 90.00
_cell_angle_beta 108.60
_cell_angle_gamma 90.00
_space_group_name_H-M_alt 'C 1 m 1'
_space_group_IT_number 8
loop_
_space_group_symop_operation_xyz
'x,y,z'
'x,-y,z'
'x+1/2,y+1/2,z'
'x+1/2,-y+1/2,z'
loop_
_atom_site_label
_atom_site_type_symbol
_atom_site_fract_x
_atom_site_fract_y
_atom_site_fract_z
Mg1 Mg 0.000 0.000 0.000
Ni1 Ni 0.162 0.000 0.476
O1 O 0.384 0.500 0.641
O2 O 0.391 0.000 0.172
```

5.
Computed powder XRD pattern of SrSmDyMnO6 for copper Kα, from a cell relaxed with GGA+U.
Lines closer than 0.1° are merged.

Principal peaks in the range 10 to 80 degrees two-theta, low angle first:
2θ/deg	d/Å	Rel. int.	hkl
18.93	4.688	15	1 1 1
31.15	2.871	100	2 2 0
36.71	2.448	11	3 1 1
38.40	2.344	3	2 2 2
44.64	2.030	31	4 0 0
48.89	1.863	6	3 3 1
55.43	1.658	39	4 2 2
59.12	1.563	3	3 3 3
64.96	1.436	19	4 4 0
68.34	1.373	3	5 3 1
73.80	1.284	17	6 2 0
77.00	1.238	1	5 3 3

```
data_SrSmDyMnO6
_chemical_formula_sum 'Sr4 Sm4 Dy4 Mn4 O24'
_cell_length_a 8.120
_cell_length_b 8.120
_cell_length_c 8.120
_cell_angle_alpha 90.00
_cell_angle_beta 90.00
_cell_angle_gamma 90.00
_space_group_name_H-M_alt 'F -4 3 m'
_space_group_IT_number 216
_space_group_name_Hall 'F -4 2 3'
loop_
_atom_site_label
_atom_site_type_symbol
_atom_site_fract_x
_atom_site_fract_y
_atom_site_fract_z
Sr1 Sr 0.000 0.000 0.000
Sm1 Sm 0.000 0.000 0.500
Dy1 Dy 0.250 0.250 0.250
Mn1 Mn 0.250 0.250 0.750
O1 O 0.016 0.250 0.750
```